This entry pairs a crystal structure of Cs2LiCuF6 with its computed powder diffractogram. Radiation: Cu Kα X-rays. Structure: DFT lattice parameters and positions (GGA-PBE).

Top 10 peaks for 2θ from 15° to 90°, sorted by position:
| Position (°2θ) | I (rel.) |
| --- | --- |
| 18.77 | 14 |
| 21.70 | 28 |
| 30.88 | 100 |
| 38.06 | 39 |
| 44.23 | 42 |
| 49.79 | 13 |
| 54.92 | 39 |
| 64.34 | 25 |
| 73.07 | 18 |
| 89.56 | 21 |

Structure:
abc: 5.7914 5.7914 5.7914
angles: 60.00 60.00 60.00
Fractional positions:
Cs (0.2500, 0.2500, 0.2500)
Cs (0.7500, 0.7500, 0.7500)
Li (0.0000, 0.0000, 0.0000)
Cu (0.5000, 0.5000, 0.5000)
F (0.2613, 0.2613, 0.7387)
F (0.2613, 0.7387, 0.2613)
F (0.2613, 0.7387, 0.7387)
F (0.7387, 0.2613, 0.2613)
F (0.7387, 0.2613, 0.7387)
F (0.7387, 0.7387, 0.2613)


This entry pairs a crystal structure of K5Ag4 with its computed powder diffractogram. Radiation: Cu Kα X-rays. Structure: DFT lattice parameters and positions (GGA-PBE).

Top 10 peaks for 2θ from 15° to 90°, sorted by position:
| Position (°2θ) | I (rel.) |
| --- | --- |
| 15.91 | 40 |
| 19.27 | 100 |
| 20.79 | 33 |
| 27.61 | 60 |
| 28.14 | 72 |
| 28.87 | 61 |
| 31.92 | 59 |
| 33.67 | 72 |
| 35.52 | 88 |
| 36.54 | 38 |

Structure:
abc: 6.6267 6.6267 11.7911
angles: 112.58 112.58 44.86
Fractional positions:
K (0.0000, 0.0000, 0.0000)
K (0.1051, 0.1051, 0.3994)
K (0.2523, 0.2523, 0.8258)
K (0.7477, 0.7477, 0.1742)
K (0.8949, 0.8949, 0.6006)
Ag (0.3944, 0.3944, 0.3869)
Ag (0.4424, 0.4424, 0.1699)
Ag (0.5576, 0.5576, 0.8301)
Ag (0.6056, 0.6056, 0.6131)


This entry pairs a crystal structure of LuNbSn4 with its computed powder diffractogram. Radiation: Cu Kα X-rays. Structure: DFT lattice parameters and positions (GGA-PBE).

Top 10 peaks for 2θ from 15° to 90°, sorted by position:
| Position (°2θ) | I (rel.) |
| --- | --- |
| 19.02 | 35 |
| 19.95 | 54 |
| 26.76 | 100 |
| 27.44 | 28 |
| 31.65 | 32 |
| 35.94 | 31 |
| 36.98 | 62 |
| 37.80 | 41 |
| 38.59 | 29 |
| 46.40 | 72 |

Structure:
abc: 8.9004 9.3319 4.7597
angles: 90.00 90.00 90.00
Fractional positions:
Lu (0.0000, 0.0000, 0.0000)
Lu (0.5000, 0.5000, 0.0000)
Nb (0.0000, 0.5000, 0.5000)
Nb (0.5000, 0.0000, 0.5000)
Sn (0.0000, 0.2121, 0.5000)
Sn (0.0000, 0.7879, 0.5000)
Sn (0.1672, 0.5000, 0.0000)
Sn (0.3328, 0.0000, 0.0000)
Sn (0.5000, 0.2879, 0.5000)
Sn (0.5000, 0.7121, 0.5000)
Sn (0.6672, 0.0000, 0.0000)
Sn (0.8328, 0.5000, 0.0000)


This entry pairs a crystal structure of Cd2InCl2 with its computed powder diffractogram. Radiation: Cu Kα X-rays. Structure: DFT lattice parameters and positions (GGA-PBE).

Top 10 peaks for 2θ from 15° to 90°, sorted by position:
| Position (°2θ) | I (rel.) |
| --- | --- |
| 18.82 | 100 |
| 29.40 | 43 |
| 31.50 | 23 |
| 32.38 | 56 |
| 35.28 | 66 |
| 37.72 | 52 |
| 38.17 | 20 |
| 44.69 | 28 |
| 44.81 | 19 |
| 48.01 | 19 |

Structure:
abc: 9.7952 6.2650 11.0107
angles: 62.11 34.42 83.47
Fractional positions:
Cd (0.2052, 0.7948, 0.3024)
Cd (0.5524, 0.9476, 0.4552)
Cd (0.7948, 0.2052, 0.6976)
Cd (0.9476, 0.5524, 0.0448)
In (0.2531, 0.2531, 0.7469)
In (0.5031, 0.5031, 0.9969)
Cl (0.1187, 0.9405, 0.5608)
Cl (0.6892, 0.8700, 0.1313)
Cl (0.8700, 0.6892, 0.3095)
Cl (0.9405, 0.1187, 0.3800)


This entry pairs a crystal structure of InIr9 with its computed powder diffractogram. Radiation: Cu Kα X-rays. Structure: DFT lattice parameters and positions (GGA-PBE).

Top 10 peaks for 2θ from 15° to 90°, sorted by position:
| Position (°2θ) | I (rel.) |
| --- | --- |
| 39.85 | 100 |
| 40.92 | 47 |
| 46.57 | 48 |
| 47.79 | 14 |
| 67.46 | 12 |
| 67.97 | 16 |
| 68.93 | 19 |
| 81.79 | 26 |
| 82.49 | 13 |
| 82.90 | 13 |

Structure:
abc: 2.7585 2.7585 51.3893
angles: 90.00 90.00 90.00
Fractional positions:
In (0.2500, 0.2500, 0.1378)
In (0.7500, 0.7500, 0.8622)
Ir (0.2500, 0.2500, 0.2188)
Ir (0.2500, 0.2500, 0.2941)
Ir (0.2500, 0.2500, 0.3691)
Ir (0.2500, 0.2500, 0.4440)
Ir (0.2500, 0.2500, 0.5187)
Ir (0.2500, 0.2500, 0.5935)
Ir (0.2500, 0.2500, 0.6683)
Ir (0.2500, 0.2500, 0.7435)
Ir (0.2500, 0.2500, 0.8177)
Ir (0.7500, 0.7500, 0.1823)
Ir (0.7500, 0.7500, 0.2565)
Ir (0.7500, 0.7500, 0.3317)
Ir (0.7500, 0.7500, 0.4065)
Ir (0.7500, 0.7500, 0.4813)
Ir (0.7500, 0.7500, 0.5560)
Ir (0.7500, 0.7500, 0.6309)
Ir (0.7500, 0.7500, 0.7059)
Ir (0.7500, 0.7500, 0.7812)


This entry pairs a crystal structure of Tb2Ga4NiPt with its computed powder diffractogram. Radiation: Cu Kα X-rays. Structure: DFT lattice parameters and positions (GGA-PBE).

Top 10 peaks for 2θ from 15° to 90°, sorted by position:
| Position (°2θ) | I (rel.) |
| --- | --- |
| 22.36 | 21 |
| 26.85 | 21 |
| 35.22 | 100 |
| 36.41 | 100 |
| 38.11 | 42 |
| 41.78 | 43 |
| 43.62 | 32 |
| 44.69 | 14 |
| 57.82 | 25 |
| 68.51 | 15 |

Structure:
abc: 6.6408 4.3245 10.1070
angles: 90.00 90.00 90.00
Fractional positions:
Tb (0.0000, 0.0000, 0.0000)
Tb (0.0000, 0.5000, 0.5000)
Tb (0.5000, 0.0000, 0.1681)
Tb (0.5000, 0.5000, 0.6681)
Ga (0.1901, 0.0000, 0.7145)
Ga (0.1901, 0.5000, 0.2145)
Ga (0.2950, 0.0000, 0.4478)
Ga (0.2950, 0.5000, 0.9478)
Ga (0.7050, 0.0000, 0.4478)
Ga (0.7050, 0.5000, 0.9478)
Ga (0.8099, 0.0000, 0.7145)
Ga (0.8099, 0.5000, 0.2145)
Ni (0.0000, 0.0000, 0.2855)
Ni (0.0000, 0.5000, 0.7855)
Pt (0.5000, 0.0000, 0.8800)
Pt (0.5000, 0.5000, 0.3800)


This entry pairs a crystal structure of H4WAuCSe4 with its computed powder diffractogram. Radiation: Cu Kα X-rays. Structure: DFT lattice parameters and positions (GGA-PBE).

Top 10 peaks for 2θ from 15° to 90°, sorted by position:
| Position (°2θ) | I (rel.) |
| --- | --- |
| 19.68 | 66 |
| 26.83 | 78 |
| 27.97 | 33 |
| 31.36 | 38 |
| 33.68 | 37 |
| 36.59 | 59 |
| 41.88 | 37 |
| 44.33 | 100 |
| 44.93 | 48 |
| 82.46 | 28 |

Structure:
abc: 5.8566 7.0164 7.0171
angles: 80.01 65.39 65.39
Fractional positions:
H (0.0000, 0.0000, 0.0000)
H (0.0710, 0.7439, 0.1157)
H (0.1647, 0.9288, 0.1818)
H (0.3440, 0.8131, 0.9258)
W (0.8949, 0.3712, 0.5561)
Au (0.3947, 0.3713, 0.5566)
C (0.1448, 0.8717, 0.0558)
Se (0.3066, 0.2845, 0.2572)
Se (0.5704, 0.6700, 0.4687)
Se (0.7819, 0.0720, 0.6428)
Se (0.9209, 0.4586, 0.8552)


This entry pairs a crystal structure of YHo2Cu4Sn2Ge2 with its computed powder diffractogram. Radiation: Cu Kα X-rays. Structure: DFT lattice parameters and positions (GGA-PBE).

Top 10 peaks for 2θ from 15° to 90°, sorted by position:
| Position (°2θ) | I (rel.) |
| --- | --- |
| 33.87 | 100 |
| 35.19 | 72 |
| 37.80 | 30 |
| 42.23 | 35 |
| 43.53 | 28 |
| 46.31 | 18 |
| 46.40 | 20 |
| 56.56 | 11 |
| 62.25 | 19 |
| 77.07 | 14 |

Structure:
abc: 8.2249 8.2249 8.2249
angles: 149.84 130.14 59.38
Fractional positions:
Y (0.0000, 0.0000, 0.0000)
Ho (0.3646, 0.8646, 0.5000)
Ho (0.6354, 0.1354, 0.5000)
Cu (0.0112, 0.3228, 0.6884)
Cu (0.3656, 0.6772, 0.6884)
Cu (0.6344, 0.3228, 0.3116)
Cu (0.9888, 0.6772, 0.3116)
Sn (0.2986, 0.5000, 0.7986)
Sn (0.7014, 0.5000, 0.2014)
Ge (0.2167, 0.2167, 0.0000)
Ge (0.7833, 0.7833, 0.0000)


This entry pairs a crystal structure of TaBO3 with its computed powder diffractogram. Radiation: Cu Kα X-rays. Structure: DFT lattice parameters and positions (GGA-PBE).

Top 10 peaks for 2θ from 15° to 90°, sorted by position:
| Position (°2θ) | I (rel.) |
| --- | --- |
| 24.37 | 100 |
| 31.95 | 76 |
| 37.32 | 35 |
| 45.08 | 26 |
| 49.93 | 18 |
| 52.56 | 36 |
| 53.22 | 18 |
| 59.91 | 21 |
| 63.97 | 18 |
| 67.32 | 11 |

Structure:
abc: 5.7553 5.7553 5.7553
angles: 49.49 49.49 49.49
Fractional positions:
Ta (0.0000, 0.0000, 0.0000)
Ta (0.5000, 0.5000, 0.5000)
B (0.2500, 0.2500, 0.2500)
B (0.7500, 0.7500, 0.7500)
O (0.0377, 0.7500, 0.4623)
O (0.2500, 0.5377, 0.9623)
O (0.4623, 0.0377, 0.7500)
O (0.5377, 0.9623, 0.2500)
O (0.7500, 0.4623, 0.0377)
O (0.9623, 0.2500, 0.5377)


This entry pairs a crystal structure of Ho2C3 with its computed powder diffractogram. Radiation: Cu Kα X-rays. Structure: DFT lattice parameters and positions (GGA-PBE).

Top 10 peaks for 2θ from 15° to 90°, sorted by position:
| Position (°2θ) | I (rel.) |
| --- | --- |
| 26.73 | 48 |
| 30.96 | 100 |
| 34.72 | 97 |
| 41.35 | 49 |
| 52.54 | 28 |
| 57.52 | 64 |
| 62.24 | 28 |
| 75.41 | 19 |
| 87.81 | 21 |
| 89.85 | 16 |

Structure:
abc: 7.0749 7.0749 7.0749
angles: 109.47 109.47 109.47
Fractional positions:
Ho (0.0000, 0.1008, 0.5000)
Ho (0.0000, 0.6008, 0.5000)
Ho (0.1008, 0.5000, 0.0000)
Ho (0.3992, 0.3992, 0.3992)
Ho (0.5000, 0.0000, 0.1008)
Ho (0.5000, 0.0000, 0.6008)
Ho (0.6008, 0.5000, 0.0000)
Ho (0.8992, 0.8992, 0.8992)
C (0.0429, 0.7929, 0.2500)
C (0.2071, 0.9571, 0.2500)
C (0.2500, 0.0429, 0.7929)
C (0.2500, 0.2071, 0.9571)
C (0.2929, 0.5429, 0.7500)
C (0.4571, 0.7071, 0.7500)
C (0.5429, 0.7500, 0.2929)
C (0.7071, 0.7500, 0.4571)
C (0.7500, 0.2929, 0.5429)
C (0.7500, 0.4571, 0.7071)
C (0.7929, 0.2500, 0.0429)
C (0.9571, 0.2500, 0.2071)


This entry pairs a crystal structure of HoAl2Ga2Ni with its computed powder diffractogram. Radiation: Cu Kα X-rays. Structure: DFT lattice parameters and positions (GGA-PBE).

Top 10 peaks for 2θ from 15° to 90°, sorted by position:
| Position (°2θ) | I (rel.) |
| --- | --- |
| 17.85 | 38 |
| 26.37 | 26 |
| 31.20 | 54 |
| 35.67 | 100 |
| 36.68 | 56 |
| 37.88 | 52 |
| 39.28 | 56 |
| 39.49 | 70 |
| 44.31 | 48 |
| 59.67 | 27 |

Structure:
abc: 7.9182 7.9182 6.5327
angles: 90.00 90.00 150.08
Fractional positions:
Ho (0.1221, 0.8779, 0.7500)
Ho (0.8779, 0.1221, 0.2500)
Al (0.0727, 0.9273, 0.2500)
Al (0.5000, 0.5000, 0.0000)
Al (0.5000, 0.5000, 0.5000)
Al (0.9273, 0.0727, 0.7500)
Ga (0.3172, 0.6828, 0.5510)
Ga (0.3172, 0.6828, 0.9490)
Ga (0.6828, 0.3172, 0.0510)
Ga (0.6828, 0.3172, 0.4490)
Ni (0.2252, 0.7748, 0.2500)
Ni (0.7748, 0.2252, 0.7500)


This entry pairs a crystal structure of PrDyCd6 with its computed powder diffractogram. Radiation: Cu Kα X-rays. Structure: DFT lattice parameters and positions (GGA-PBE).

Top 10 peaks for 2θ from 15° to 90°, sorted by position:
| Position (°2θ) | I (rel.) |
| --- | --- |
| 29.83 | 11 |
| 33.03 | 19 |
| 33.30 | 13 |
| 35.18 | 100 |
| 36.95 | 28 |
| 37.99 | 21 |
| 50.39 | 11 |
| 64.46 | 10 |
| 65.45 | 16 |
| 69.92 | 9 |

Structure:
abc: 4.8651 7.1862 10.8476
angles: 90.00 90.00 90.00
Fractional positions:
Pr (0.0000, 0.0000, 0.0000)
Pr (0.0000, 0.5000, 0.5000)
Dy (0.5000, 0.0000, 0.7267)
Dy (0.5000, 0.5000, 0.2267)
Cd (0.0000, 0.0000, 0.5404)
Cd (0.0000, 0.2156, 0.2694)
Cd (0.0000, 0.2844, 0.7694)
Cd (0.0000, 0.5000, 0.0404)
Cd (0.0000, 0.7156, 0.7694)
Cd (0.0000, 0.7844, 0.2694)
Cd (0.5000, 0.0000, 0.1946)
Cd (0.5000, 0.2117, 0.4566)
Cd (0.5000, 0.2883, 0.9566)
Cd (0.5000, 0.5000, 0.6946)
Cd (0.5000, 0.7117, 0.9566)
Cd (0.5000, 0.7883, 0.4566)


This entry pairs a crystal structure of PrAl3PdPt with its computed powder diffractogram. Radiation: Cu Kα X-rays. Structure: DFT lattice parameters and positions (GGA-PBE).

Top 10 peaks for 2θ from 15° to 90°, sorted by position:
| Position (°2θ) | I (rel.) |
| --- | --- |
| 21.05 | 47 |
| 32.50 | 64 |
| 39.05 | 100 |
| 42.86 | 16 |
| 54.81 | 29 |
| 57.99 | 12 |
| 62.40 | 25 |
| 68.07 | 12 |
| 75.96 | 14 |
| 83.89 | 14 |

Structure:
abc: 5.5093 5.5093 4.2198
angles: 90.00 90.00 120.00
Fractional positions:
Pr (0.0000, 0.0000, 0.0000)
Al (0.5006, 0.0011, 0.5000)
Al (0.5006, 0.4994, 0.5000)
Al (0.9989, 0.4994, 0.5000)
Pd (0.3333, 0.6667, 0.0000)
Pt (0.6667, 0.3333, 0.0000)